Li10Mn3V5O16: simulated X-ray powder pattern (λ = 1.5418 Å (Cu Kα)), based on a PBE+U-relaxed structure.
Intensities are scaled so that the largest is 100.

Cell and atoms:
```
data_Li10Mn3V5O16
_chemical_formula_sum 'Li10 Mn3 V5 O16'
_cell_length_a 6.0210
_cell_length_b 6.0698
_cell_length_c 9.9453
_cell_angle_alpha 89.28
_cell_angle_beta 89.59
_cell_angle_gamma 60.89
_space_group_name_H-M_alt 'P 1'
_space_group_IT_number 1
loop_
_space_group_symop_operation_xyz
'x,y,z'
loop_
_atom_site_label
_atom_site_type_symbol
_atom_site_fract_x
_atom_site_fract_y
_atom_site_fract_z
Li1 Li 0.0000 0.0000 0.0000
Li2 Li 0.0034 0.4105 0.9980
Li3 Li 0.1842 0.6183 0.4310
Li4 Li 0.1935 0.6266 0.9291
Li5 Li 0.3875 0.8020 0.5032
Li6 Li 0.3961 0.2134 0.4945
Li7 Li 0.5208 0.9582 0.7145
Li8 Li 0.5925 0.4043 0.9990
Li9 Li 0.7895 0.8055 0.4963
Li10 Li 0.8617 0.2740 0.2150
Mn1 Mn 0.0252 0.4528 0.7284
Mn2 Mn 0.3561 0.2837 0.2295
Mn3 Mn 0.5319 0.4496 0.7315
V1 V 0.0241 0.9607 0.7285
V2 V 0.3606 0.7824 0.2300
V3 V 0.5293 0.9544 0.9700
V4 V 0.8514 0.7837 0.2289
V5 V 0.8552 0.2828 0.4701
O1 O 0.0080 0.4585 0.3588
O2 O 0.0171 0.9456 0.3473
O3 O 0.1754 0.1152 0.5999
O4 O 0.1796 0.6370 0.1179
O5 O 0.2024 0.6328 0.6230
O6 O 0.2177 0.0905 0.1020
O7 O 0.3485 0.8090 0.8542
O8 O 0.3673 0.3006 0.8561
O9 O 0.5145 0.4664 0.3560
O10 O 0.5297 0.9334 0.3466
O11 O 0.6883 0.6312 0.1058
O12 O 0.6901 0.0970 0.1015
O13 O 0.6940 0.5889 0.6043
O14 O 0.7118 0.1121 0.5980
O15 O 0.8540 0.2757 0.8460
O16 O 0.8557 0.8052 0.8557
```

Main lines, in order of rising 2θ (2θ = 10–90°):
- 17.8 deg, I 70, hkl 0 0 2
- 19.1 deg, I 84, hkl 1 1 1
- 34.4 deg, I 32, hkl 1 -1 2
- 34.9 deg, I 29, hkl 0 2 1
- 38.7 deg, I 33, hkl 2 0 2
- 43.9 deg, I 100, hkl 2 0 -3

Na5Ca2Fe3P6O24: simulated X-ray powder pattern (λ = 1.5418 Å (Cu Kα)), based on a PBE+U-relaxed structure.
Intensities are scaled so that the largest is 100.

Cell and atoms:
```
data_Na5Ca2Fe3P6O24
_chemical_formula_sum 'Na5 Ca2 Fe3 P6 O24'
_cell_length_a 6.5744
_cell_length_b 8.8417
_cell_length_c 9.0622
_cell_angle_alpha 91.25
_cell_angle_beta 107.32
_cell_angle_gamma 106.56
_space_group_name_H-M_alt 'P 1'
_space_group_IT_number 1
loop_
_space_group_symop_operation_xyz
'x,y,z'
loop_
_atom_site_label
_atom_site_type_symbol
_atom_site_fract_x
_atom_site_fract_y
_atom_site_fract_z
Na1 Na 0.0000 0.0000 0.0000
Na2 Na 0.0210 0.7097 0.2901
Na3 Na 0.2495 0.4809 0.5165
Na4 Na 0.5099 0.9519 0.0392
Na5 Na 0.7700 0.4924 0.5082
Ca1 Ca 0.5110 0.2551 0.7495
Ca2 Ca 0.5803 0.8850 0.6314
Fe1 Fe 0.1063 0.5939 0.9474
Fe2 Fe 0.3983 0.3598 0.0836
Fe3 Fe 0.8968 0.0408 0.4044
P1 P 0.0079 0.2574 0.7434
P2 P 0.1259 0.8466 0.6795
P3 P 0.3934 0.1268 0.3644
P4 P 0.5067 0.6958 0.2771
P5 P 0.6234 0.6312 0.8904
P6 P 0.8899 0.3208 0.1608
O1 O 0.0361 0.2317 0.5805
O2 O 0.0763 0.3818 0.0789
O3 O 0.1073 0.7927 0.8412
O4 O 0.1275 0.7083 0.5759
O5 O 0.1728 0.0033 0.3706
O6 O 0.2204 0.2376 0.8670
O7 O 0.3069 0.7239 0.1471
O8 O 0.3452 0.9864 0.7175
O9 O 0.3549 0.1643 0.1912
O10 O 0.4246 0.5556 0.9564
O11 O 0.4537 0.2757 0.4787
O12 O 0.4560 0.6986 0.4300
O13 O 0.5444 0.5312 0.2543
O14 O 0.5713 0.5350 0.7326
O15 O 0.5838 0.0472 0.4094
O16 O 0.6441 0.8081 0.8798
O17 O 0.6568 0.3057 0.0353
O18 O 0.7223 0.8268 0.2737
O19 O 0.8001 0.1400 0.7670
O20 O 0.8478 0.6193 0.0049
O21 O 0.8768 0.1468 0.2001
O22 O 0.9256 0.9096 0.5978
O23 O 0.9365 0.4319 0.3049
O24 O 0.9869 0.4288 0.7607
```

Main lines, in order of rising 2θ (2θ = 10–90°):
- 13.8 deg, I 49, hkl 0 1 -1
- 15.6 deg, I 72, hkl 0 1 1
- 31.4 deg, I 77, hkl 0 2 2
- 31.8 deg, I 100, hkl 0 1 -3
- 32.4 deg, I 71, hkl 0 3 -1
- 34.8 deg, I 37, hkl 2 0 1

ZnMo2O5: simulated X-ray powder pattern (λ = 1.5418 Å (Cu Kα)), based on a PBE+U-relaxed structure.
Intensities are scaled so that the largest is 100.

Cell and atoms:
```
data_ZnMo2O5
_chemical_formula_sum 'Zn2 Mo4 O10'
_cell_length_a 3.9556
_cell_length_b 11.5518
_cell_length_c 6.7600
_cell_angle_alpha 90.00
_cell_angle_beta 90.00
_cell_angle_gamma 90.00
_space_group_name_H-M_alt 'P 1'
_space_group_IT_number 1
loop_
_space_group_symop_operation_xyz
'x,y,z'
loop_
_atom_site_label
_atom_site_type_symbol
_atom_site_fract_x
_atom_site_fract_y
_atom_site_fract_z
Zn1 Zn 0.2500 0.2500 0.1307
Zn2 Zn 0.7500 0.7500 0.8693
Mo1 Mo 0.2500 0.5878 0.3787
Mo2 Mo 0.2500 0.9122 0.3787
Mo3 Mo 0.7500 0.0878 0.6213
Mo4 Mo 0.7500 0.4122 0.6213
O1 O 0.2500 0.0658 0.5377
O2 O 0.2500 0.4342 0.5377
O3 O 0.2500 0.5690 0.1296
O4 O 0.2500 0.7500 0.4525
O5 O 0.2500 0.9310 0.1296
O6 O 0.7500 0.0690 0.8704
O7 O 0.7500 0.2500 0.5475
O8 O 0.7500 0.4310 0.8704
O9 O 0.7500 0.5658 0.4623
O10 O 0.7500 0.9342 0.4623
```

Main lines, in order of rising 2θ (2θ = 10–90°):
- 13.1 deg, I 86, hkl 0 0 1
- 26.1 deg, I 100, hkl 1 0 1
- 26.6 deg, I 99, hkl 0 3 1
- 27.2 deg, I 54, hkl 1 1 1
- 27.5 deg, I 61, hkl 0 1 2
- 32.4 deg, I 80, hkl 1 3 0

VO2F: simulated X-ray powder pattern (λ = 1.5418 Å (Cu Kα)), based on a PBE+U-relaxed structure.
Intensities are scaled so that the largest is 100.

Cell and atoms:
```
data_VO2F
_chemical_formula_sum 'V4 O8 F4'
_cell_length_a 7.1010
_cell_length_b 5.3230
_cell_length_c 5.7450
_cell_angle_alpha 90.00
_cell_angle_beta 99.13
_cell_angle_gamma 90.00
_space_group_name_H-M_alt 'P 1'
_space_group_IT_number 1
loop_
_space_group_symop_operation_xyz
'x,y,z'
loop_
_atom_site_label
_atom_site_type_symbol
_atom_site_fract_x
_atom_site_fract_y
_atom_site_fract_z
V1 V 0.1769 0.1041 0.2462
V2 V 0.1769 0.3959 0.7462
V3 V 0.8231 0.6041 0.2538
V4 V 0.8231 0.8959 0.7538
O1 O 0.0018 0.1208 0.7576
O2 O 0.0018 0.3792 0.2576
O3 O 0.2810 0.1369 0.5277
O4 O 0.2810 0.3631 0.0277
O5 O 0.7190 0.6369 0.9723
O6 O 0.7190 0.8631 0.4723
O7 O 0.9982 0.6208 0.7424
O8 O 0.9982 0.8792 0.2424
F1 F 0.3384 0.5904 0.6208
F2 F 0.3384 0.9096 0.1208
F3 F 0.6616 0.0904 0.8792
F4 F 0.6616 0.4096 0.3792
```

Main lines, in order of rising 2θ (2θ = 10–90°):
- 12.6 deg, I 100, hkl 1 0 0
- 21.0 deg, I 88, hkl 1 1 0
- 25.0 deg, I 92, hkl 1 1 -1
- 27.4 deg, I 98, hkl 1 1 1
- 36.0 deg, I 46, hkl 1 0 2
- 52.7 deg, I 47, hkl 3 2 -1